For Hg5Pb2, a cell relaxed with GGA-PBE gives the calculated powder X-ray diffraction pattern in this record (a wavelength of 1.5418 Å).
No peak broadening, texture or thermal motion is included.

Peak list (12 most intense, 2θ from 10° to 90°, sorted by position)
| h k l | 2θ/deg | intensity |
| --- | --- | --- |
| 1 0 7 | 32.06 | 100 |
| 1 1 0 | 36.80 | 36 |
| 0 0 14 | 37.96 | 14 |
| 2 0 0 | 53.02 | 13 |
| 1 1 14 | 53.91 | 21 |
| 2 1 7 | 63.32 | 29 |
| 1 0 21 | 64.90 | 10 |
| 2 0 14 | 67.05 | 11 |
| 2 2 0 | 78.29 | 4 |
| 3 0 7 | 87.11 | 7 |
| 2 1 21 | 88.52 | 9 |
| 3 1 0 | 89.79 | 6 |

Structural model:
Unit cell a=3.4540 b=3.4540 c=33.1818 alpha=90.00 beta=90.00 gamma=90.00
Space group I4/mmm (No. 139)
Inequivalent atoms, fractional coordinates:
Hg (0.0000, 0.0000, 0.0000) (multiplicity 2)
Hg (0.0000, 0.0000, 0.1355) (multiplicity 4)
Hg (0.0000, 0.0000, 0.4318) (multiplicity 4)
Pb (0.0000, 0.0000, 0.2889) (multiplicity 4)